(1)
Diffraction record for AcZnTeAs. The XRD peak list is simulated, not measured: it uses a cell relaxed with PBE and CuKα.
Kinematic intensities with the Lorentz-polarization factor, no thermal factor.

Principal peaks in the range 10 to 90 degrees two-theta, low angle first:
h k l, 2θ/deg, intensity
0 0 6, 11.8, 43
1 0 1, 22.8, 23
1 0 7, 26.7, 100
1 0 10, 30.2, 30
1 0 13, 34.6, 31
1 1 0, 39.9, 67
0 1 17, 41.1, 28
0 2 7, 48.6, 20

Cell lengths 4.5180, 4.5180, 45.0827 Å; angles 90.00, 90.00, 120.00 degrees
Space group R-3m (No. 166, hexagonal axes)
Unique sites:
Ac1 0.0000 0.0000 0.0827 [6 per cell]
Zn1 0.0000 0.0000 0.3121 [6 per cell]
Te1 0.0000 0.0000 0.2102 [6 per cell]
As1 0.0000 0.0000 0.3693 [6 per cell]



(2)
Diffraction record for AcTh2As3. The XRD peak list is simulated, not measured: it uses a cell relaxed with PBE and CuKα.
Kinematic intensities with the Lorentz-polarization factor, no thermal factor.

Principal peaks in the range 10 to 90 degrees two-theta, low angle first:
h k l, 2θ/deg, intensity
1 0 3, 25.1, 44
1 1 0, 29.1, 100
2 0 0, 41.6, 77
1 0 9, 49.2, 23
2 0 6, 51.6, 28
3 1 0, 68.3, 24
1 1 12, 68.4, 12
3 1 6, 75.9, 18

Cell lengths 4.344, 4.344, 18.390 Å; angles 90.00, 90.00, 90.00 degrees
Space group I4/mmm (No. 139)
Unique sites:
Ac1 0.000 0.000 0.000 [2 per cell]
Th1 0.000 0.000 0.334 [4 per cell]
As1 0.000 0.000 0.171 [4 per cell]
As2 0.000 0.000 0.500 [2 per cell]